# 1
Computed powder X-ray diffraction pattern of BaTcRh for a wavelength of 1.5418 Å, from DFT lattice parameters and positions (GGA-PBE).
Kinematic intensities with the Lorentz-polarization factor, no thermal factor.

Most intense lines, 2θ = 5–70°, low angle first:
2θ (°)	Rel. int.
10.3	100
28.9	22
29.5	87
30.4	22
35.1	43
36.5	19
40.3	20
42.4	27

Crystal structure
a = 4.4853 Å, b = 4.2658 Å, c = 8.6027 Å
α = 90.00°, β = 93.11°, γ = 90.00°
Fractional coordinates of all 6 atoms:
Ba 0.0000 0.0000 0.0000
Ba 0.4756 0.5000 0.6383
Tc 0.0409 0.5000 0.3142
Tc 0.9122 0.0000 0.4446
Rh 0.4249 0.0000 0.3250
Rh 0.5593 0.5000 0.1675


# 2
Computed powder X-ray diffraction pattern of Pm2ZnGe3Rh4 for a wavelength of 1.5418 Å, from DFT lattice parameters and positions (GGA-PBE).
Kinematic intensities with the Lorentz-polarization factor, no thermal factor.

Most intense lines, 2θ = 5–70°, low angle first:
2θ (°)	Rel. int.
33.8	63
34.7	100
42.7	62
46.8	16
49.5	28
55.6	30
62.0	20
67.5	22

Crystal structure
a = 4.2318 Å, b = 4.2318 Å, c = 10.2166 Å
α = 90.00°, β = 90.00°, γ = 90.00°
Fractional coordinates of all 10 atoms:
Pm 0.0000 0.5000 0.2490
Pm 0.5000 0.0000 0.7510
Zn 0.5000 0.5000 0.0000
Ge 0.0000 0.0000 0.0000
Ge 0.0000 0.5000 0.6295
Ge 0.5000 0.0000 0.3705
Rh 0.0000 0.0000 0.5000
Rh 0.0000 0.5000 0.8679
Rh 0.5000 0.0000 0.1321
Rh 0.5000 0.5000 0.5000


# 3
Computed powder X-ray diffraction pattern of Pm3Pr4Sm4 for a wavelength of 1.5418 Å, from DFT lattice parameters and positions (GGA-PBE).
Kinematic intensities with the Lorentz-polarization factor, no thermal factor.

Most intense lines, 2θ = 5–70°, low angle first:
2θ (°)	Rel. int.
29.8	33
30.4	17
30.7	39
31.4	100
32.8	15
55.0	29
61.0	15
61.1	14

Crystal structure
a = 10.9241 Å, b = 6.7699 Å, c = 6.7699 Å
α = 51.02°, β = 90.00°, γ = 90.00°
Fractional coordinates of all 11 atoms:
Pm 0.0000 0.0000 0.0000
Pm 0.2928 0.1552 0.1552
Pm 0.7072 0.1552 0.1552
Pr 0.0000 0.7052 0.7052
Pr 0.2091 0.4996 0.4996
Pr 0.5000 0.6321 0.6321
Pr 0.7909 0.4996 0.4996
Sm 0.0000 0.2979 0.2979
Sm 0.3019 0.8508 0.8508
Sm 0.5000 0.3582 0.3582
Sm 0.6981 0.8508 0.8508